Structure and simulated powder diffraction line list of CeCo5H4 (a structure optimized by DFT (PBE); Cu Kα (weighted mean of Kα1 and Kα2)).

Crystal structure
Cell lengths 5.1152, 5.1152, 4.0280 Å; angles 90.00, 90.00, 117.96 degrees
Atoms (fractional coordinates):
Ce 0.0000 0.0000 0.0000
Co 0.0000 0.5000 0.5000
Co 0.3643 0.6357 0.0000
Co 0.5000 0.0000 0.5000
Co 0.5000 0.5000 0.5000
Co 0.6357 0.3643 0.0000
H 0.0000 0.5000 0.0000
H 0.1377 0.8623 0.5000
H 0.5000 0.0000 0.0000
H 0.8623 0.1377 0.5000

Top 10 peaks for 10° ≤ 2θ ≤ 90°, in order of rising 2θ:
| Position (°2θ) | d (Å) | I_rel |
| --- | --- | --- |
| 29.71 | 3.007 | 37 |
| 30.13 | 2.966 | 44 |
| 35.11 | 2.556 | 28 |
| 39.91 | 2.259 | 59 |
| 40.91 | 2.206 | 58 |
| 41.86 | 2.158 | 100 |
| 45.01 | 2.014 | 44 |
| 60.17 | 1.538 | 23 |
| 61.70 | 1.503 | 31 |
| 66.25 | 1.411 | 24 |